Record 1
# BaBi4Br2O6
Calculated powder diffraction line list, Cu Ka. Input: a cell relaxed with GGA-PBE.
Lines closer than 0.1° are merged.

Cell and atoms:
```
13
Lattice="-2.014 2.014 16.871 2.014 -2.014 16.871 2.014 2.014 -16.871" Properties=species:S:1:pos:R:3 pbc="T T T"
Ba 0.000 0.000 0.000
Bi 0.000 0.000 9.659
Bi 0.000 0.000 14.047
Bi 0.000 0.000 19.695
Bi 0.000 0.000 24.083
Br 0.000 0.000 5.630
Br 0.000 0.000 28.112
O 2.014 0.000 1.879
O 2.014 0.000 8.436
O 2.014 0.000 14.992
O 0.000 2.014 1.879
O 0.000 2.014 8.436
O 0.000 2.014 14.992
```

Peak list (12 most intense, 5 to 70 degrees two-theta, in order of rising 2θ)
d [Å]	Position (°2θ)	I/Imax
16.871	5.24	9.4
5.624	15.76	7.6
3.999	22.23	10.6
3.792	23.46	9.0
3.091	28.89	100.0
2.848	31.41	43.7
2.744	32.63	12.7
2.176	41.49	15.6
2.014	45.01	23.3
1.840	49.55	11.0
1.780	51.32	18.3
1.687	54.37	35.3

---

Record 2
# PuS
Calculated powder diffraction line list, Cu Ka. Input: a cell relaxed with GGA-PBE.
Lines closer than 0.1° are merged.

Cell and atoms:
```
2
Lattice="0.000 2.808 2.808 2.808 0.000 2.808 2.808 2.808 0.000" Properties=species:S:1:pos:R:3 pbc="T T T"
Pu 0.000 0.000 0.000
S 2.808 2.808 2.808
```

Peak list (6 most intense, 5 to 70 degrees two-theta, in order of rising 2θ)
d [Å]	Position (°2θ)	I/Imax
3.242	27.51	100.0
2.808	31.87	93.5
1.985	45.69	69.6
1.693	54.17	50.5
1.621	56.79	24.6
1.404	66.61	11.5

---

Record 3
# AcTb3
Calculated powder diffraction line list, Cu Ka. Input: a cell relaxed with GGA-PBE.
Lines closer than 0.1° are merged.

Cell and atoms:
```
4
Lattice="-2.604 2.604 5.164 2.604 -2.604 5.164 2.604 2.604 -5.164" Properties=species:S:1:pos:R:3 pbc="T T T"
Ac 0.000 0.000 0.000
Tb 2.604 0.000 2.582
Tb 0.000 0.000 5.164
Tb 0.000 2.604 2.582
```

Peak list (12 most intense, 5 to 70 degrees two-theta, in order of rising 2θ)
d [Å]	Position (°2θ)	I/Imax
5.164	17.17	0.7
4.651	19.08	2.2
2.999	29.80	100.0
2.872	31.14	0.7
2.604	34.44	34.2
2.582	34.74	16.7
2.272	39.66	0.8
1.842	49.50	12.4
1.834	49.72	24.5
1.569	58.85	29.7
1.560	59.25	14.6
1.499	61.89	12.8

---

Record 4
# K2SeBr6
Calculated powder diffraction line list, Cu Ka. Input: a cell relaxed with GGA-PBE.
Lines closer than 0.1° are merged.

Cell and atoms:
```
9
Lattice="0.000 5.358 5.358 5.358 0.000 5.358 5.358 5.358 0.000" Properties=species:S:1:pos:R:3 pbc="T T T"
K 2.679 2.679 2.679
K 8.037 8.037 8.037
Se 0.000 0.000 0.000
Br 5.358 5.358 2.600
Br 5.358 2.600 5.358
Br 8.117 5.358 5.358
Br 2.600 5.358 5.358
Br 5.358 8.117 5.358
Br 5.358 5.358 8.117
```

Peak list (12 most intense, 5 to 70 degrees two-theta, in order of rising 2θ)
d [Å]	Position (°2θ)	I/Imax
6.187	14.32	23.4
5.358	16.54	30.7
3.231	27.61	7.2
3.094	28.86	100.0
2.679	33.45	87.6
2.396	37.53	15.6
2.062	43.90	6.8
1.894	48.02	60.3
1.811	50.38	5.3
1.786	51.14	8.1
1.616	57.00	39.7
1.547	59.79	20.3

---

Record 5
# CaAl2Si2H4O10
Calculated powder diffraction line list, Cu Ka. Input: a cell relaxed with GGA-PBE.
Lines closer than 0.1° are merged.

Cell and atoms:
```
38
Lattice="2.955 -4.995 0.000 2.955 4.995 0.000 0.000 0.000 14.066" Properties=species:S:1:pos:R:3 pbc="T T T"
Ca 2.955 3.967 10.550
Ca 2.955 -3.967 3.517
Al 1.478 2.498 0.000
Al 1.478 2.498 7.033
Al 1.478 -2.498 0.000
Al 1.478 -2.498 7.033
Si 2.955 2.572 2.104
Si 2.955 2.572 4.929
Si 2.955 -2.572 9.137
Si 2.955 -2.572 11.962
H 2.955 1.674 8.616
H 2.955 1.674 12.483
H 2.955 0.176 9.769
H 2.955 0.176 11.330
H 2.955 -0.176 2.736
H 2.955 -0.176 4.297
H 2.955 -1.674 1.583
H 2.955 -1.674 5.450
O 1.576 1.724 1.891
O 1.576 1.724 5.143
O 2.955 3.538 0.759
O 2.955 3.538 6.274
O 2.955 3.454 3.517
O 2.955 1.472 7.667
O 2.955 1.472 13.433
O 2.955 0.769 10.550
O 1.576 -1.724 8.924
O 1.576 -1.724 12.176
O 4.334 1.724 1.891
O 4.334 1.724 5.143
O 2.955 -0.769 3.517
O 2.955 -1.472 0.634
O 2.955 -1.472 6.400
O 2.955 -3.454 10.550
O 2.955 -3.538 7.793
O 2.955 -3.538 13.307
O 4.334 -1.724 8.924
O 4.334 -1.724 12.176
```

Peak list (12 most intense, 5 to 70 degrees two-theta, in order of rising 2θ)
d [Å]	Position (°2θ)	I/Imax
4.995	17.76	100.0
4.784	18.55	15.5
4.073	21.82	21.4
3.448	25.84	11.0
2.842	31.48	36.4
2.724	32.88	12.4
2.463	36.48	19.2
2.451	36.66	10.5
2.236	40.34	17.9
2.122	42.60	11.2
1.709	53.62	9.6
1.677	54.74	24.6

---

Record 6
# La2RuO5
Calculated powder diffraction line list, Cu Ka. Input: a cell relaxed with GGA-PBE.
Lines closer than 0.1° are merged.

Cell and atoms:
```
32
Lattice="5.875 0.000 0.000 0.030 8.008 0.000 0.291 1.786 9.074" Properties=species:S:1:pos:R:3 pbc="T T T"
La 1.376 1.058 0.482
La 1.681 4.901 6.122
La 1.550 5.048 0.481
La 1.753 8.907 6.083
La 4.443 0.888 2.991
La 4.646 4.746 8.593
La 4.515 4.894 2.952
La 4.820 8.736 8.592
Ru 1.545 2.947 3.198
Ru 1.583 6.927 3.200
Ru 4.613 2.867 5.874
Ru 4.651 6.847 5.876
O 0.342 3.207 7.072
O 0.212 3.351 1.686
O 0.330 6.604 4.683
O 0.990 0.934 3.088
O 1.312 8.839 8.402
O 2.101 4.936 3.304
O 2.292 4.824 8.378
O 2.764 7.305 1.715
O 2.938 2.447 4.678
O 2.997 2.609 1.987
O 3.199 7.186 7.087
O 3.259 7.347 4.396
O 3.432 2.489 7.359
O 3.904 4.970 0.696
O 4.095 4.859 5.770
O 4.884 0.955 0.672
O 5.206 8.861 5.986
O 5.866 3.190 4.391
O 5.984 6.443 7.388
O 5.854 6.587 2.002
```

Peak list (12 most intense, 5 to 70 degrees two-theta, in order of rising 2θ)
d [Å]	Position (°2θ)	I/Imax
3.025	29.53	37.4
2.940	30.40	100.0
2.907	30.76	92.1
2.853	31.35	41.9
2.141	42.22	22.8
2.075	43.63	18.4
2.001	45.31	26.0
1.704	53.81	12.5
1.683	54.51	10.8
1.668	55.04	10.8
1.657	55.45	10.6
1.651	55.68	15.9

---

Question: Which formula does entry 1 have?
Answer: BaBi4Br2O6

---

Question: What is the formula in the sixth record?
Answer: La2RuO5